1.
Calculated XRD peak list
Compound: Ba4ScReWO12
Radiation: Cu Kα
Structure: a structure optimized by DFT (PBE+U)
Neutral-atom scattering factors, no anomalous dispersion.

Structural model:
```
data_Ba4ScReWO12
_chemical_formula_sum 'Ba4 Sc1 Re1 W1 O12'
_cell_length_a 10.030
_cell_length_b 10.030
_cell_length_c 10.030
_cell_angle_alpha 33.89
_cell_angle_beta 33.89
_cell_angle_gamma 33.89
_space_group_name_H-M_alt 'P 1'
_space_group_IT_number 1
loop_
_space_group_symop_operation_xyz
'x,y,z'
loop_
_atom_site_label
_atom_site_type_symbol
_atom_site_fract_x
_atom_site_fract_y
_atom_site_fract_z
_atom_site_occupancy
Ba1 Ba 0.000 0.000 0.000 1
Ba2 Ba 0.155 0.155 0.155 1
Ba3 Ba 0.420 0.420 0.420 1
Ba4 Ba 0.581 0.581 0.581 1
Sc1 Sc 0.291 0.291 0.291 1
Re1 Re 0.870 0.870 0.870 1
W1 W 0.710 0.710 0.710 1
O1 O 0.069 0.069 0.598 1
O2 O 0.069 0.598 0.069 1
O3 O 0.146 0.681 0.681 1
O4 O 0.424 0.904 0.904 1
O5 O 0.504 0.504 0.986 1
O6 O 0.504 0.986 0.504 1
O7 O 0.598 0.069 0.069 1
O8 O 0.681 0.146 0.681 1
O9 O 0.681 0.681 0.146 1
O10 O 0.904 0.424 0.904 1
O11 O 0.904 0.904 0.424 1
O12 O 0.986 0.504 0.504 1
```

Most intense lines, 10 to 80 degrees two-theta, most intense first:
d [Å]	I/Imax
3.162	1000
2.923	891
2.146	513
1.730	343
1.688	179
1.391	173
1.462	170
4.984	160
1.879	157
1.327	151

=====

2.
Calculated XRD peak list
Compound: LiFeOF2
Radiation: Cu Kα
Structure: a structure optimized by DFT (PBE+U)
Neutral-atom scattering factors, no anomalous dispersion.

Structural model:
```
data_LiFeOF2
_chemical_formula_sum 'Li2 Fe2 O2 F4'
_cell_length_a 3.318
_cell_length_b 3.318
_cell_length_c 11.954
_cell_angle_alpha 90.00
_cell_angle_beta 90.00
_cell_angle_gamma 119.81
_space_group_name_H-M_alt 'P 1'
_space_group_IT_number 1
loop_
_space_group_symop_operation_xyz
'x,y,z'
loop_
_atom_site_label
_atom_site_type_symbol
_atom_site_fract_x
_atom_site_fract_y
_atom_site_fract_z
_atom_site_occupancy
Li1 Li 0.000 0.000 0.000 1
Li2 Li 0.000 0.000 0.500 1
Fe1 Fe 0.331 0.669 0.750 1
Fe2 Fe 0.669 0.331 0.250 1
O1 O 0.002 0.998 0.750 1
O2 O 0.998 0.002 0.250 1
F1 F 0.333 0.667 0.584 1
F2 F 0.333 0.667 0.916 1
F3 F 0.667 0.333 0.084 1
F4 F 0.667 0.333 0.416 1
```

Most intense lines, 10 to 80 degrees two-theta, most intense first:
d [Å]	I/Imax
2.796	1000
5.977	629
1.839	250
1.659	174
2.989	154
1.992	143
1.468	115
1.275	99
1.664	88
2.876	86

=====

3.
Calculated XRD peak list
Compound: KFePbOF6
Radiation: Cu Kα
Structure: a structure optimized by DFT (PBE+U)
Neutral-atom scattering factors, no anomalous dispersion.

Structural model:
```
data_KFePbOF6
_chemical_formula_sum 'K4 Fe4 Pb4 O4 F24'
_cell_length_a 8.631
_cell_length_b 8.855
_cell_length_c 8.971
_cell_angle_alpha 88.47
_cell_angle_beta 89.03
_cell_angle_gamma 89.96
_space_group_name_H-M_alt 'P 1'
_space_group_IT_number 1
loop_
_space_group_symop_operation_xyz
'x,y,z'
loop_
_atom_site_label
_atom_site_type_symbol
_atom_site_fract_x
_atom_site_fract_y
_atom_site_fract_z
_atom_site_occupancy
K1 K 0.242 0.492 0.001 1
K2 K 0.258 0.008 0.999 1
K3 K 0.742 0.992 0.001 1
K4 K 0.758 0.508 0.999 1
Fe1 Fe 0.007 0.759 0.779 1
Fe2 Fe 0.493 0.741 0.221 1
Fe3 Fe 0.507 0.259 0.779 1
Fe4 Fe 0.993 0.241 0.221 1
Pb1 Pb 0.001 0.242 0.724 1
Pb2 Pb 0.498 0.259 0.276 1
Pb3 Pb 0.502 0.741 0.724 1
Pb4 Pb 0.999 0.758 0.276 1
O1 O 0.071 0.493 0.498 1
O2 O 0.429 0.007 0.502 1
O3 O 0.571 0.993 0.498 1
O4 O 0.929 0.507 0.502 1
F1 F 0.001 0.984 0.803 1
F2 F 0.010 0.537 0.796 1
F3 F 0.018 0.247 0.995 1
F4 F 0.028 0.790 0.568 1
F5 F 0.221 0.246 0.224 1
F6 F 0.233 0.761 0.810 1
F7 F 0.267 0.740 0.190 1
F8 F 0.278 0.253 0.776 1
F9 F 0.472 0.709 0.432 1
F10 F 0.482 0.253 0.005 1
F11 F 0.490 0.963 0.203 1
F12 F 0.499 0.517 0.196 1
F13 F 0.501 0.483 0.804 1
F14 F 0.510 0.037 0.797 1
F15 F 0.518 0.747 0.995 1
F16 F 0.528 0.291 0.568 1
F17 F 0.722 0.747 0.224 1
F18 F 0.733 0.260 0.810 1
F19 F 0.767 0.239 0.190 1
F20 F 0.779 0.754 0.776 1
F21 F 0.972 0.210 0.432 1
F22 F 0.982 0.753 0.005 1
F23 F 0.990 0.463 0.204 1
F24 F 0.999 0.016 0.197 1
```

Most intense lines, 10 to 80 degrees two-theta, most intense first:
d [Å]	I/Imax
3.087	1000
4.315	925
4.426	770
4.483	662
3.192	446
3.108	424
2.213	355
3.136	346
2.158	316
5.103	302

=====

4.
Calculated XRD peak list
Compound: KCrC4O8
Radiation: Cu Kα
Structure: a structure optimized by DFT (PBE+U)
Neutral-atom scattering factors, no anomalous dispersion.

Structural model:
```
data_KCrC4O8
_chemical_formula_sum 'K2 Cr2 C8 O16'
_cell_length_a 7.952
_cell_length_b 5.726
_cell_length_c 13.713
_cell_angle_alpha 90.00
_cell_angle_beta 108.19
_cell_angle_gamma 90.00
_space_group_name_H-M_alt 'P 1'
_space_group_IT_number 1
loop_
_space_group_symop_operation_xyz
'x,y,z'
loop_
_atom_site_label
_atom_site_type_symbol
_atom_site_fract_x
_atom_site_fract_y
_atom_site_fract_z
_atom_site_occupancy
K1 K 0.000 0.170 0.250 1
K2 K 0.000 0.830 0.750 1
Cr1 Cr 0.500 0.000 0.000 1
Cr2 Cr 0.500 0.000 0.500 1
C1 C 0.219 0.037 0.582 1
C2 C 0.219 0.963 0.082 1
C3 C 0.314 0.205 0.121 1
C4 C 0.314 0.795 0.621 1
C5 C 0.686 0.205 0.379 1
C6 C 0.686 0.795 0.879 1
C7 C 0.781 0.037 0.918 1
C8 C 0.781 0.963 0.418 1
O1 O 0.098 0.106 0.612 1
O2 O 0.098 0.894 0.112 1
O3 O 0.262 0.332 0.177 1
O4 O 0.262 0.668 0.677 1
O5 O 0.288 0.140 0.518 1
O6 O 0.288 0.860 0.018 1
O7 O 0.448 0.239 0.086 1
O8 O 0.448 0.761 0.586 1
O9 O 0.552 0.239 0.414 1
O10 O 0.552 0.761 0.914 1
O11 O 0.712 0.140 0.982 1
O12 O 0.712 0.860 0.482 1
O13 O 0.738 0.332 0.323 1
O14 O 0.738 0.668 0.823 1
O15 O 0.902 0.106 0.888 1
O16 O 0.902 0.894 0.388 1
```

Most intense lines, 10 to 80 degrees two-theta, most intense first:
d [Å]	I/Imax
4.310	1000
5.726	629
5.242	317
2.886	239
3.445	207
6.514	167
2.442	75
7.555	65
2.330	61
1.890	59

=====

5.
Calculated XRD peak list
Compound: CoPO4
Radiation: Cu Kα
Structure: a structure optimized by DFT (PBE+U)
Neutral-atom scattering factors, no anomalous dispersion.

Structural model:
```
data_CoPO4
_chemical_formula_sum 'Co4 P4 O16'
_cell_length_a 5.737
_cell_length_b 6.431
_cell_length_c 9.258
_cell_angle_alpha 73.75
_cell_angle_beta 79.02
_cell_angle_gamma 79.62
_space_group_name_H-M_alt 'P 1'
_space_group_IT_number 1
loop_
_space_group_symop_operation_xyz
'x,y,z'
loop_
_atom_site_label
_atom_site_type_symbol
_atom_site_fract_x
_atom_site_fract_y
_atom_site_fract_z
_atom_site_occupancy
Co1 Co 0.172 0.101 0.195 1
Co2 Co 0.290 0.174 0.562 1
Co3 Co 0.710 0.826 0.438 1
Co4 Co 0.828 0.899 0.805 1
P1 P 0.168 0.723 0.513 1
P2 P 0.316 0.876 0.894 1
P3 P 0.684 0.124 0.106 1
P4 P 0.832 0.277 0.487 1
O1 O 0.083 0.232 0.389 1
O2 O 0.106 0.823 0.348 1
O3 O 0.129 0.756 0.862 1
O4 O 0.250 0.925 0.049 1
O5 O 0.261 0.484 0.544 1
O6 O 0.343 0.091 0.762 1
O7 O 0.358 0.851 0.540 1
O8 O 0.429 0.262 0.120 1
O9 O 0.571 0.738 0.880 1
O10 O 0.642 0.149 0.460 1
O11 O 0.657 0.909 0.238 1
O12 O 0.739 0.516 0.456 1
O13 O 0.750 0.075 0.951 1
O14 O 0.871 0.244 0.138 1
O15 O 0.894 0.177 0.652 1
O16 O 0.917 0.768 0.611 1
```

Most intense lines, 10 to 80 degrees two-theta, most intense first:
d [Å]	I/Imax
6.118	1000
8.790	461
4.097	376
2.766	264
2.877	224
2.930	183
2.790	180
4.512	171
3.732	117
2.553	112